Theoretical XRD peak list of CaLa2Co2Sb2Pb2O12 for Cu Kα (weighted mean of Kα1 and Kα2), from the GGA+U geometry in the Materials Project.
No peak broadening, texture or thermal motion is included.

Peak list (10 most intense, 10 to 90 degrees two-theta, low angle first)
Position (°2θ), Rel. int., h k l
17.70, 17.1, 0 1 -1
18.33, 18.5, 1 0 -1
19.97, 17.9, 0 0 2
23.44, 29.3, 1 -1 1
27.14, 29.6, 1 1 2
29.36, 100.0, 1 1 -2
29.50, 40.4, 0 2 1
30.01, 22.7, 2 0 0
33.27, 26.9, 2 1 1
37.08, 34.4, -1 1 3

Cell and atoms:
a = 5.9770 Å, b = 6.3331 Å, c = 8.9209 Å
α = 86.51°, β = 86.95°, γ = 86.13°
Space group P1 (No. 1)
Asymmetric unit:
Ca1 0.0000 0.0000 0.0000 (multiplicity 1)
La1 0.2292 0.3659 0.1986 (multiplicity 1)
La2 0.7150 0.6518 0.6181 (multiplicity 1)
Co1 0.1843 0.8248 0.3910 (multiplicity 1)
Co2 0.5652 0.1777 0.8209 (multiplicity 1)
Sb1 0.2127 0.6602 0.8070 (multiplicity 1)
Sb2 0.7128 0.2161 0.3866 (multiplicity 1)
Pb1 0.1616 0.1803 0.6186 (multiplicity 1)
Pb2 0.5401 0.8347 0.1263 (multiplicity 1)
O1 0.0013 0.4467 0.7718 (multiplicity 1)
O2 0.1799 0.7433 0.1798 (multiplicity 1)
O3 0.3088 0.7284 0.5921 (multiplicity 1)
O4 0.3477 0.1237 0.9970 (multiplicity 1)
O5 0.4354 0.0526 0.3350 (multiplicity 1)
O6 0.4935 0.4942 0.8475 (multiplicity 1)
O7 0.5368 0.4806 0.3192 (multiplicity 1)
O8 0.5788 0.2673 0.5950 (multiplicity 1)
O9 0.7669 0.9276 0.8105 (multiplicity 1)
O10 0.8726 0.1923 0.1863 (multiplicity 1)
O11 0.8824 0.9410 0.4611 (multiplicity 1)
O12 0.9758 0.3924 0.4385 (multiplicity 1)